Structure and theoretical X-ray diffraction stick pattern of Tb2CeCu6 (a structure optimized by DFT (GGA-PBE); a wavelength of 1.5418 Å).

Structure:
a = 7.383 Å, b = 7.383 Å, c = 3.574 Å
α = 90.00°, β = 90.00°, γ = 120.00°
Sites, in units of the cell vectors:
Tb  0.333  0.667  0.000
Tb  0.667  0.333  0.000
Ce  0.000  0.000  0.000
Cu  0.000  0.334  0.500
Cu  0.000  0.666  0.500
Cu  0.334  0.000  0.500
Cu  0.334  0.334  0.500
Cu  0.666  0.000  0.500
Cu  0.666  0.666  0.500

Top 12 peaks for 2θ = 10–90°, in order of falling intensity:
2theta  I/Imax
34.94  100.0
42.41  50.0
56.07  25.1
68.52  22.8
72.75  22.6
24.11  17.7
51.11  9.5
77.58  7.9
85.67  7.4
57.27  3.6
49.37  2.7
89.01  2.4

---

Structure and theoretical X-ray diffraction stick pattern of CeTm2Cu9 (a structure optimized by DFT (GGA-PBE); a wavelength of 1.5418 Å).

Structure:
a = 5.210 Å, b = 5.210 Å, c = 16.329 Å
α = 90.00°, β = 90.00°, γ = 120.00°
Sites, in units of the cell vectors:
Ce  0.333  0.667  0.250
Ce  0.667  0.333  0.750
Tm  0.333  0.667  0.035
Tm  0.333  0.667  0.465
Tm  0.667  0.333  0.535
Tm  0.667  0.333  0.965
Cu  0.000  0.000  0.000
Cu  0.000  0.000  0.250
Cu  0.000  0.000  0.500
Cu  0.000  0.000  0.750
Cu  0.167  0.335  0.625
Cu  0.167  0.335  0.875
Cu  0.167  0.833  0.625
Cu  0.167  0.833  0.875
Cu  0.333  0.667  0.750
Cu  0.335  0.167  0.125
Cu  0.335  0.167  0.375
Cu  0.665  0.833  0.625
Cu  0.665  0.833  0.875
Cu  0.667  0.333  0.250
Cu  0.833  0.167  0.125
Cu  0.833  0.167  0.375
Cu  0.833  0.665  0.125
Cu  0.833  0.665  0.375

Top 12 peaks for 2θ = 10–90°, in order of falling intensity:
2theta  I/Imax
41.10  100.0
33.88  57.6
34.43  49.7
40.36  31.0
43.42  24.2
66.22  23.2
72.58  21.9
61.32  21.8
43.68  17.2
66.08  16.4
44.38  13.1
39.96  13.0

---

Structure and theoretical X-ray diffraction stick pattern of CeTmCu4 (a structure optimized by DFT (GGA-PBE); a wavelength of 1.5418 Å).

Structure:
a = 5.452 Å, b = 5.452 Å, c = 5.452 Å
α = 133.50°, β = 103.14°, γ = 94.84°
Sites, in units of the cell vectors:
Ce  0.000  0.000  0.000
Tm  0.420  0.920  0.500
Cu  0.421  0.621  0.800
Cu  0.590  0.292  0.298
Cu  0.821  0.621  0.200
Cu  0.993  0.292  0.702

Top 12 peaks for 2θ = 10–90°, in order of falling intensity:
2theta  I/Imax
35.86  100.0
42.33  46.1
35.99  41.5
41.98  32.1
34.65  32.1
56.46  22.2
23.93  19.9
69.30  16.1
41.82  13.6
72.71  12.2
60.03  11.8
38.96  10.2

---

Structure and theoretical X-ray diffraction stick pattern of CeYCu (a structure optimized by DFT (GGA-PBE); a wavelength of 1.5418 Å).

Structure:
a = 6.702 Å, b = 6.702 Å, c = 6.702 Å
α = 149.94°, β = 149.94°, γ = 43.03°
Sites, in units of the cell vectors:
Ce  0.000  0.000  0.000
Y  0.717  0.717  0.000
Cu  0.352  0.352  0.000

Top 12 peaks for 2θ = 10–90°, in order of falling intensity:
2theta  I/Imax
33.61  100.0
36.55  46.9
63.93  29.7
58.15  18.9
26.62  17.7
52.66  16.1
47.08  10.8
28.63  10.6
44.72  10.3
89.05  7.1
43.54  7.0
71.69  6.7

---

What did the fourth record say?
Structure and theoretical X-ray diffraction stick pattern of CeYCu (a structure optimized by DFT (GGA-PBE); a wavelength of 1.5418 Å).

Structure:
a = 6.702 Å, b = 6.702 Å, c = 6.702 Å
α = 149.94°, β = 149.94°, γ = 43.03°
Sites, in units of the cell vectors:
Ce  0.000  0.000  0.000
Y  0.717  0.717  0.000
Cu  0.352  0.352  0.000

Top 12 peaks for 2θ = 10–90°, in order of falling intensity:
2theta  I/Imax
33.61  100.0
36.55  46.9
63.93  29.7
58.15  18.9
26.62  17.7
52.66  16.1
47.08  10.8
28.63  10.6
44.72  10.3
89.05  7.1
43.54  7.0
71.69  6.7

---

Question: Which formula does entry 4 have?
Answer: CeYCu